For TbPm6Cd, a DFT-relaxed cell (PBE, Alexandria) gives the calculated X-ray diffraction stick pattern in this record (Cu Kα (weighted mean of Kα1 and Kα2)).
Intensities are scaled so that the largest is 100.

Atomic structure:
Unit cell a=10.826 b=10.826 c=10.826 alpha=153.21 beta=153.21 gamma=38.25
Atoms (fractional coordinates):
Tb 0.000 0.000 0.000
Pm 0.121 0.621 0.500
Pm 0.248 0.248 0.000
Pm 0.379 0.879 0.500
Pm 0.621 0.121 0.500
Pm 0.752 0.752 0.000
Pm 0.879 0.379 0.500
Cd 0.500 0.500 0.000

Main lines, by intensity (2θ = 10–90°):
Position (°2θ)  intensity
30.68  100.0
35.81  33.3
61.18  27.8
51.01  23.6
35.09  17.1
60.23  13.8
51.54  12.3
63.88  11.9
83.20  11.1
84.03  5.7